Starting from a structure optimized by DFT (PBE+U), the X-ray powder pattern of BaNi2O was simulated for Cu Kα (weighted mean of Kα1 and Kα2).
Intensities are scaled so that the largest is 100.

Main lines, in order of falling intensity (10 to 90 degrees two-theta):
- (2 1 1), 2θ = 35.3°, rel. 100
- (2 0 0), 2θ = 30.0°, rel. 80
- (4 0 0), 2θ = 62.3°, rel. 32
- (3 1 2), 2θ = 53.2°, rel. 30
- (2 0 2), 2θ = 36.9°, rel. 23
- (3 0 3), 2θ = 56.7°, rel. 17
- (3 2 1), 2θ = 56.7°, rel. 17
- (5 2 1), 2θ = 89.2°, rel. 12
- (4 1 3), 2θ = 73.6°, rel. 12
- (4 2 4), 2θ = 86.3°, rel. 10

Structure:
abc: 5.9602 5.9602 8.4452
angles: 90.00 90.00 90.00
Positions (direct):
Ba: 0.0000 0.2500 0.3750
Ba: 0.0000 0.7500 0.6250
Ba: 0.5000 0.2500 0.1250
Ba: 0.5000 0.7500 0.8750
Ni: 0.0000 0.0000 0.0000
Ni: 0.0000 0.5000 0.0000
Ni: 0.2500 0.2500 0.7500
Ni: 0.2500 0.7500 0.2500
Ni: 0.5000 0.0000 0.5000
Ni: 0.5000 0.5000 0.5000
Ni: 0.7500 0.2500 0.7500
Ni: 0.7500 0.7500 0.2500
O: 0.0000 0.2500 0.8750
O: 0.0000 0.7500 0.1250
O: 0.5000 0.2500 0.6250
O: 0.5000 0.7500 0.3750